Entry 1:
Diffraction record for Zr6BiAu. The powder XRD pattern is calculated, not measured: it uses a PBE-relaxed structure and Cu Kα X-rays.

Atomic structure:
Unit cell a=7.9367 b=7.9367 c=9.7380 alpha=90.00 beta=90.00 gamma=120.00
Space group R-3 (No. 148, hexagonal axes)
Inequivalent atoms, fractional coordinates:
Zr: 0.0045 0.7525 0.2526
Bi: 0.0000 0.0000 0.0000
Au: 0.0000 0.0000 0.5000

The 6 most intense peaks (2θ = 15–90°), sorted by position:
2θ = 22.4°, I 26.9; 2θ = 31.9°, I 44.1; 2θ = 35.8°, I 51.2; 2θ = 39.3°, I 100.0; 2θ = 61.8°, I 39.9; 2θ = 75.8°, I 14.8

Entry 2:
Diffraction record for Au2Br3. The powder XRD pattern is calculated, not measured: it uses a PBE-relaxed structure and Cu Kα X-rays.

Atomic structure:
Unit cell a=8.666 b=13.278 c=12.566 alpha=90.00 beta=90.00 gamma=90.00
Space group Fdd2 (No. 43)
Inequivalent atoms, fractional coordinates:
Au: 0.122 0.310 0.000
Br: 0.000 0.000 0.919
Br: 0.102 0.362 0.810

The 6 most intense peaks (2θ = 15–90°), sorted by position:
2θ = 19.5°, I 34.4; 2θ = 23.7°, I 100.0; 2θ = 28.4°, I 38.9; 2θ = 34.0°, I 33.9; 2θ = 37.9°, I 38.8; 2θ = 48.4°, I 29.4

Entry 3:
Diffraction record for Au2Br. The powder XRD pattern is calculated, not measured: it uses a PBE-relaxed structure and Cu Kα X-rays.

Atomic structure:
Unit cell a=3.7334 b=3.7334 c=5.5848 alpha=90.00 beta=90.00 gamma=120.00
Space group P-3m1 (No. 164)
Inequivalent atoms, fractional coordinates:
Au: 0.3333 0.6667 0.3477
Br: 0.0000 0.0000 0.0000

The 6 most intense peaks (2θ = 15–90°), sorted by position:
2θ = 15.9°, I 15.0; 2θ = 32.0°, I 100.0; 2θ = 42.8°, I 49.0; 2θ = 48.8°, I 30.3; 2θ = 59.5°, I 17.6; 2θ = 71.6°, I 18.4

Entry 4:
Diffraction record for Au3Br. The powder XRD pattern is calculated, not measured: it uses a PBE-relaxed structure and Cu Kα X-rays.

Atomic structure:
Unit cell a=3.539 b=3.565 c=7.108 alpha=90.00 beta=90.00 gamma=90.00
Space group Pmmm (No. 47)
Inequivalent atoms, fractional coordinates:
Au: 0.000 0.000 0.000
Au: 0.500 0.500 0.195
Br: 0.000 0.500 0.500

The 6 most intense peaks (2θ = 15–90°), sorted by position:
2θ = 35.7°, I 100.0; 2θ = 35.8°, I 77.3; 2θ = 38.0°, I 70.3; 2θ = 46.0°, I 43.1; 2θ = 64.1°, I 28.8; 2θ = 77.1°, I 26.0

Entry 5:
Diffraction record for Au3CBr. The powder XRD pattern is calculated, not measured: it uses a PBE-relaxed structure and Cu Kα X-rays.

Atomic structure:
Unit cell a=4.484 b=4.484 c=4.484 alpha=90.00 beta=90.00 gamma=90.00
Space group Pm-3m (No. 221)
Inequivalent atoms, fractional coordinates:
Au: 0.000 0.000 0.500
C: 0.000 0.000 0.000
Br: 0.500 0.500 0.500

The 6 most intense peaks (2θ = 15–90°), sorted by position:
2θ = 19.8°, I 10.6; 2θ = 34.6°, I 100.0; 2θ = 40.2°, I 53.2; 2θ = 58.2°, I 36.1; 2θ = 69.5°, I 40.9; 2θ = 73.1°, I 12.4

Entry 6:
Diffraction record for H8AuC2S2BrN4. The powder XRD pattern is calculated, not measured: it uses a PBE-relaxed structure and Cu Kα X-rays.

Atomic structure:
Unit cell a=9.070 b=15.906 c=7.678 alpha=90.00 beta=107.07 gamma=90.00
Space group C2/c (No. 15)
Inequivalent atoms, fractional coordinates:
H: 0.108 0.085 0.066
H: 0.137 0.231 0.095
H: 0.195 0.229 0.752
H: 0.196 0.021 0.255
Au: 0.000 0.500 0.000
C: 0.235 0.355 0.722
S: 0.088 0.363 0.520
Br: 0.000 0.119 0.750
N: 0.180 0.079 0.197
N: 0.231 0.221 0.204

The 6 most intense peaks (2θ = 15–90°), sorted by position:
2θ = 19.6°, I 63.6; 2θ = 20.5°, I 40.1; 2θ = 23.4°, I 100.0; 2θ = 24.1°, I 89.9; 2θ = 26.8°, I 55.8; 2θ = 29.6°, I 59.1